Entry 1:
Simulated X-ray diffraction stick pattern
Compound: TaTl3Sn3Te8
Radiation: copper Kα
Structure: a PBE-relaxed structure
Peak positions follow from Bragg's law for the DFT cell and can differ from measured ones.

Atomic structure:
```
15
Lattice="7.570 -4.362 0.000 7.570 4.362 0.000 -5.038 0.000 8.069" Properties=species:S:1:pos:R:3 pbc="T T T"
Ta 0.000 0.000 0.000
Tl -2.519 0.000 4.034
Tl 1.266 2.181 4.034
Tl 1.266 -2.181 4.034
Sn 3.785 2.181 0.000
Sn 3.785 -2.181 0.000
Sn 7.570 0.000 0.000
Te 2.312 0.000 1.617
Te 6.417 2.364 1.615
Te 3.685 2.364 6.453
Te 0.005 0.000 6.249
Te 10.097 0.000 1.820
Te 6.417 -2.364 1.615
Te 3.685 -2.364 6.453
Te 7.790 0.000 6.451
```

Main lines, by angle (15° ≤ 2θ ≤ 90°):
2theta	Rel. int.
27.8	100.0
38.1	35.8
41.4	35.4
50.6	12.1
62.7	8.3
73.2	9.7

=====

Entry 2:
Simulated X-ray diffraction stick pattern
Compound: Tm6Ge2AsP3
Radiation: copper Kα
Structure: a PBE-relaxed structure
Peak positions follow from Bragg's law for the DFT cell and can differ from measured ones.

Atomic structure:
```
12
Lattice="8.876 -1.967 0.000 8.876 1.967 0.000 -2.355 0.000 7.840" Properties=species:S:1:pos:R:3 pbc="T T T"
Tm -0.558 0.000 1.924
Tm 4.875 0.000 3.291
Tm 3.910 0.000 7.052
Tm 11.488 0.000 0.788
Tm 10.522 0.000 4.549
Tm 15.955 0.000 5.916
Ge 1.047 0.000 6.631
Ge 14.350 0.000 1.208
As 7.699 0.000 3.920
P 2.127 0.000 2.663
P 8.876 0.000 0.000
P 13.271 0.000 5.177
```

Main lines, by angle (15° ≤ 2θ ≤ 90°):
2theta	Rel. int.
26.1	13.4
27.6	37.6
31.6	100.0
44.3	37.1
46.2	35.2
57.0	12.4

=====

Entry 3:
Simulated X-ray diffraction stick pattern
Compound: Tb3ErS4
Radiation: copper Kα
Structure: a PBE-relaxed structure
Peak positions follow from Bragg's law for the DFT cell and can differ from measured ones.

Atomic structure:
```
8
Lattice="5.532 0.000 0.000 0.000 5.532 0.000 0.000 0.000 5.532" Properties=species:S:1:pos:R:3 pbc="T T T"
Tb 0.000 0.000 2.766
Tb 0.000 2.766 0.000
Tb 2.766 0.000 0.000
Er 2.766 2.766 2.766
S 0.000 0.000 0.000
S 0.000 2.766 2.766
S 2.766 0.000 2.766
S 2.766 2.766 0.000
```

Main lines, by angle (15° ≤ 2θ ≤ 90°):
2theta	Rel. int.
27.9	81.9
32.4	100.0
46.4	72.0
55.1	39.9
57.7	24.9
77.1	32.1

=====

Entry 4:
Simulated X-ray diffraction stick pattern
Compound: Sr3ThPt3
Radiation: copper Kα
Structure: a PBE-relaxed structure
Peak positions follow from Bragg's law for the DFT cell and can differ from measured ones.

Atomic structure:
```
14
Lattice="8.614 0.000 0.000 0.000 4.294 0.000 -0.388 0.000 12.095" Properties=species:S:1:pos:R:3 pbc="T T T"
Sr 0.926 1.073 1.513
Sr 2.853 3.220 10.569
Sr 3.110 3.220 4.583
Sr 5.116 1.073 7.512
Sr 5.373 1.073 1.526
Sr 7.300 3.220 10.583
Th 0.815 1.073 7.577
Th 7.410 3.220 4.518
Pt 0.788 1.073 4.649
Pt 0.795 1.073 10.466
Pt 2.784 3.220 7.598
Pt 5.442 1.073 4.498
Pt 7.430 3.220 1.629
Pt 7.438 3.220 7.446
```

Main lines, by angle (15° ≤ 2θ ≤ 90°):
2theta	Rel. int.
29.4	100.0
29.5	49.5
41.6	37.1
42.1	19.6
42.6	37.2
52.3	20.5